# LiNbTl2Se4
Theoretical X-ray diffraction stick pattern, Cu Kα (weighted mean of Kα1 and Kα2). Input: a GGA-PBE-relaxed structure.
Lines closer than 0.1° are merged.

Crystal structure
```
data_LiNbTl2Se4
_cell_length_a 9.8093
_cell_length_b 11.2008
_cell_length_c 6.9397
_cell_angle_alpha 90.00
_cell_angle_beta 134.96
_cell_angle_gamma 90.00
_space_group_name_H-M_alt 'C 1 2 1'
_space_group_IT_number 5
loop_
_space_group_symop_operation_xyz
'x,y,z'
'-x,y,-z'
'x+1/2,y+1/2,z'
'-x+1/2,y+1/2,-z'
loop_
_atom_site_label
_atom_site_fract_x
_atom_site_fract_y
_atom_site_fract_z
Li1 0.0000 0.0000 0.0000
Nb1 0.0000 0.7502 0.5000
Tl1 0.0000 0.2499 0.5000
Tl2 0.0000 0.5001 0.0000
Se1 0.1644 0.8720 0.4265
Se2 0.2378 0.6285 0.9020
```

Top 10 peaks for 2θ from 15° to 90°, sorted by position:
index  2θ (°)  d/Å  Rel. int.
1 1 -1  15.0  5.900  19
2 2 -1  24.1  3.691  100
1 3 0  27.1  3.288  20
1 1 1  29.9  2.991  39
0 0 2  36.6  2.454  22
3 1 -3  39.8  2.266  11
2 4 0  41.4  2.179  40
2 2 1  44.3  2.043  32
0 6 1  52.4  1.745  12
4 6 -1  65.7  1.422  15